NiCl2O2: simulated powder XRD pattern (Cu Ka), based on a structure optimized by DFT (PBE+U).
Kinematic intensities with the Lorentz-polarization factor, no thermal factor.

Peak list (8 most intense, 10 to 80 degrees two-theta, in order of rising 2θ)
h k l, 2theta, I (rel.)
0 0 1, 16.8, 100
2 0 -1, 17.8, 85
2 0 0, 22.2, 85
0 2 1, 31.6, 50
4 0 -1, 37.0, 16
2 2 -2, 38.0, 93
0 2 2, 43.7, 39
4 0 0, 45.3, 44

abc: 10.155 6.700 6.696
angles: 90.00 127.99 90.00
Space group C2/m (No. 12)
Unique sites:
1 Ni 0.250 0.250 0.000
2 Cl 0.198 0.000 0.707
3 Cl 0.249 0.000 0.238
4 O 0.037 0.310 0.846

***

NiCl2O4: simulated powder XRD pattern (Cu Ka), based on a structure optimized by DFT (PBE+U).
Kinematic intensities with the Lorentz-polarization factor, no thermal factor.

Peak list (8 most intense, 10 to 80 degrees two-theta, in order of rising 2θ)
h k l, 2theta, I (rel.)
0 0 2, 16.4, 100
1 1 0, 21.7, 51
1 1 -2, 22.8, 75
1 1 -3, 27.4, 19
0 2 3, 34.1, 81
2 1 -2, 36.5, 19
1 2 3, 43.4, 20
1 3 -5, 53.3, 20

abc: 5.209 7.694 11.603
angles: 90.00 111.69 90.00
Space group P2_1/c (No. 14)
Unique sites:
1 Ni 0.224 0.164 0.240
2 Cl 0.062 0.679 0.922
3 Cl 0.293 0.123 0.882
4 O 0.076 0.589 0.220
5 O 0.189 0.535 0.646
6 O 0.448 0.012 0.355
7 O 0.473 0.736 0.298

***

NiCl2O6: simulated powder XRD pattern (Cu Ka), based on a structure optimized by DFT (PBE+U).
Kinematic intensities with the Lorentz-polarization factor, no thermal factor.

Peak list (8 most intense, 10 to 80 degrees two-theta, in order of rising 2θ)
h k l, 2theta, I (rel.)
0 0 1, 17.8, 47
2 0 -1, 18.9, 35
1 1 1, 28.6, 23
0 2 0, 29.1, 24
3 1 -1, 30.0, 100
3 1 0, 33.6, 30
2 2 -2, 43.1, 22
0 2 2, 47.0, 20

abc: 10.293 6.137 5.756
angles: 90.00 120.20 90.00
Space group C2/m (No. 12)
Unique sites:
1 Ni 0.000 0.000 0.000
2 Cl 0.183 0.500 0.090
3 O 0.067 0.500 0.570
4 O 0.098 0.191 0.257